Entry 1:
Ba2LiTi11O24: computed XRD peak list (Cu Kα, 1.54184 Å), based on a structure optimized by DFT (PBE).
Lines closer than 0.1° are merged.

Cell and atoms:
Cell lengths 7.336, 7.396, 8.965 Å; angles 78.14, 78.09, 87.68 degrees
Space group P1 (No. 1)
Asymmetric unit:
Ba1 0.000 0.000 0.000 x1
Ba2 0.005 0.004 0.443 x1
Li1 0.516 0.810 0.165 x1
Ti1 0.198 0.532 0.766 x1
Ti2 0.199 0.526 0.430 x1
Ti3 0.206 0.517 0.102 x1
Ti4 0.486 0.187 0.608 x1
Ti5 0.489 0.175 0.949 x1
Ti6 0.502 0.172 0.270 x1
Ti7 0.529 0.820 0.488 x1
Ti8 0.535 0.822 0.836 x1
Ti9 0.820 0.495 0.330 x1
Ti10 0.825 0.493 0.006 x1
Ti11 0.830 0.472 0.671 x1
O1 0.053 0.647 0.605 x1
O2 0.054 0.647 0.936 x1
O3 0.056 0.650 0.269 x1
O4 0.298 0.375 0.937 x1
O5 0.301 0.379 0.608 x1
O6 0.306 0.379 0.278 x1
O7 0.356 0.066 0.153 x1
O8 0.361 0.050 0.820 x1
O9 0.364 0.051 0.484 x1
O10 0.374 0.715 0.385 x1
O11 0.375 0.709 0.025 x1
O12 0.387 0.711 0.704 x1
O13 0.629 0.300 0.730 x1
O14 0.634 0.300 0.403 x1
O15 0.639 0.293 0.063 x1
O16 0.650 0.960 0.619 x1
O17 0.659 0.966 0.938 x1
O18 0.670 0.968 0.297 x1
O19 0.716 0.625 0.830 x1
O20 0.722 0.632 0.497 x1
O21 0.723 0.626 0.161 x1
O22 0.961 0.359 0.834 x1
O23 0.962 0.356 0.169 x1
O24 0.962 0.360 0.501 x1

Peak list (10 most intense, 10° ≤ 2θ ≤ 90°, low angle first)
| d (Å) | Position (°2θ) | I_rel |
| --- | --- | --- |
| 4.296 | 20.68 | 27 |
| 4.070 | 21.84 | 26 |
| 3.618 | 24.60 | 31 |
| 3.402 | 26.19 | 27 |
| 3.233 | 27.59 | 86 |
| 3.215 | 27.75 | 100 |
| 2.504 | 35.87 | 24 |
| 2.498 | 35.95 | 23 |
| 2.272 | 39.68 | 25 |
| 2.246 | 40.15 | 42 |

Entry 2:
LiHF2: computed XRD peak list (Cu Kα, 1.54184 Å), based on a structure optimized by DFT (PBE).
Lines closer than 0.1° are merged.

Cell and atoms:
Cell lengths 3.0337, 3.0337, 13.3180 Å; angles 90.00, 90.00, 120.00 degrees
Space group R-3m (No. 166, hexagonal axes)
Asymmetric unit:
Li1 0.0000 0.0000 0.0000 x3
H1 0.0000 0.0000 0.5000 x3
F1 0.0000 0.0000 0.4138 x6

Peak list (10 most intense, 10° ≤ 2θ ≤ 90°, low angle first)
| d (Å) | Position (°2θ) | I_rel |
| --- | --- | --- |
| 2.578 | 34.81 | 100 |
| 2.444 | 36.78 | 58 |
| 2.220 | 40.65 | 23 |
| 2.062 | 43.90 | 12 |
| 1.870 | 48.68 | 56 |
| 1.541 | 60.04 | 21 |
| 1.517 | 61.09 | 31 |
| 1.307 | 72.27 | 6 |
| 1.252 | 75.99 | 12 |
| 1.178 | 81.74 | 8 |

Entry 3:
IrC2: computed XRD peak list (Cu Kα, 1.54184 Å), based on a structure optimized by DFT (PBE).
Lines closer than 0.1° are merged.

Cell and atoms:
Cell lengths 6.762, 2.766, 7.837 Å; angles 90.00, 107.07, 90.00 degrees
Space group C2/m (No. 12)
Asymmetric unit:
Ir1 0.135 0.000 0.292 x4
C1 0.096 0.500 0.484 x4
C2 0.183 0.000 0.788 x4

Peak list (10 most intense, 10° ≤ 2θ ≤ 90°, low angle first)
| d (Å) | Position (°2θ) | I_rel |
| --- | --- | --- |
| 7.492 | 11.81 | 65 |
| 3.746 | 23.75 | 100 |
| 3.346 | 26.64 | 86 |
| 2.694 | 33.26 | 49 |
| 2.543 | 35.30 | 40 |
| 2.497 | 35.96 | 47 |
| 2.327 | 38.69 | 49 |
| 2.227 | 40.51 | 71 |
| 1.687 | 54.39 | 29 |
| 1.586 | 58.16 | 26 |

Entry 4:
Bi2B2O7: computed XRD peak list (Cu Kα, 1.54184 Å), based on a structure optimized by DFT (PBE).
Lines closer than 0.1° are merged.

Cell and atoms:
Cell lengths 5.432, 6.586, 8.011 Å; angles 71.48, 86.78, 79.36 degrees
Space group P-1 (No. 2)
Asymmetric unit:
Bi1 0.186 0.094 0.141 x2
Bi2 0.275 0.309 0.605 x2
B1 0.202 0.826 0.579 x2
B2 0.352 0.652 0.164 x2
O1 0.053 0.669 0.607 x2
O2 0.093 0.776 0.134 x2
O3 0.193 0.932 0.705 x2
O4 0.337 0.899 0.425 x2
O5 0.381 0.511 0.035 x2
O6 0.420 0.499 0.336 x2
O7 0.476 0.192 0.880 x2

Peak list (10 most intense, 10° ≤ 2θ ≤ 90°, low angle first)
| d (Å) | Position (°2θ) | I_rel |
| --- | --- | --- |
| 5.737 | 15.44 | 48 |
| 3.808 | 23.36 | 46 |
| 3.719 | 23.93 | 59 |
| 3.504 | 25.42 | 47 |
| 3.094 | 28.86 | 100 |
| 3.014 | 29.64 | 52 |
| 2.584 | 34.72 | 49 |
| 2.084 | 43.42 | 25 |
| 1.900 | 47.88 | 27 |
| 1.714 | 53.47 | 28 |

Entry 5:
InP3O9: computed XRD peak list (Cu Kα, 1.54184 Å), based on a structure optimized by DFT (PBE).
Lines closer than 0.1° are merged.

Cell and atoms:
Cell lengths 7.443, 8.533, 8.559 Å; angles 61.85, 88.78, 89.24 degrees
Space group P1 (No. 1)
Asymmetric unit:
In1 0.000 0.000 0.000 x1
In2 0.499 0.336 0.333 x1
P1 0.300 0.990 0.326 x1
P2 0.310 0.325 0.700 x1
P3 0.341 0.738 0.008 x1
P4 0.809 0.646 0.351 x1
P5 0.810 0.354 0.009 x1
P6 0.846 0.080 0.592 x1
O1 0.017 0.063 0.513 x1
O2 0.163 0.826 0.939 x1
O3 0.180 0.220 0.847 x1
O4 0.185 0.936 0.217 x1
O5 0.325 0.559 0.172 x1
O6 0.327 0.266 0.559 x1
O7 0.332 0.188 0.244 x1
O8 0.394 0.859 0.482 x1
O9 0.414 0.473 0.695 x1
O10 0.513 0.820 0.924 x1
O11 0.672 0.114 0.497 x1
O12 0.674 0.406 0.108 x1
O13 0.687 0.490 0.399 x1
O14 0.828 0.155 0.080 x1
O15 0.830 0.771 0.155 x1
O16 0.833 0.071 0.772 x1
O17 0.905 0.670 0.486 x1
O18 0.915 0.486 0.859 x1

Peak list (10 most intense, 10° ≤ 2θ ≤ 90°, low angle first)
| d (Å) | Position (°2θ) | I_rel |
| --- | --- | --- |
| 7.534 | 11.75 | 57 |
| 7.330 | 12.07 | 29 |
| 5.344 | 16.59 | 30 |
| 5.285 | 16.77 | 100 |
| 5.254 | 16.87 | 25 |
| 5.170 | 17.15 | 31 |
| 3.721 | 23.91 | 26 |
| 3.676 | 24.21 | 34 |
| 3.358 | 26.54 | 33 |
| 2.781 | 32.18 | 30 |